Entry 1:
For Pr3I7Br, a crystal structure in Alexandria, relaxed with PBE gives the computed XRD peak list in this record (CuKα).
No peak broadening, texture or thermal motion is included.

Peak list (10 most intense, 2θ from 10° to 90°, in order of rising 2θ)
| Position (°2θ) | Rel. int. |
| --- | --- |
| 11.50 | 39 |
| 25.75 | 100 |
| 32.82 | 55 |
| 40.33 | 34 |
| 42.29 | 29 |
| 48.47 | 19 |
| 52.93 | 14 |
| 63.86 | 16 |
| 64.83 | 15 |
| 68.59 | 12 |

Atomic structure:
Cell lengths 8.9456, 8.9456, 7.6875 Å; angles 90.00, 90.00, 120.00 degrees
Fractional positions:
Pr 0.0025 0.5013 0.0000
Pr 0.4987 0.5013 0.0000
Pr 0.4987 0.9975 0.0000
I 0.1681 0.3361 0.7607
I 0.1681 0.8319 0.7607
I 0.3369 0.1685 0.2379
I 0.6639 0.8319 0.7607
I 0.6667 0.3333 0.7512
I 0.8315 0.1685 0.2379
I 0.8315 0.6631 0.2379
Br 0.3333 0.6667 0.2135

***

Entry 2:
For Pr8Si3I4Br, a crystal structure in Alexandria, relaxed with PBE gives the computed XRD peak list in this record (CuKα).
No peak broadening, texture or thermal motion is included.

Peak list (10 most intense, 2θ from 10° to 90°, in order of rising 2θ)
| Position (°2θ) | Rel. int. |
| --- | --- |
| 23.80 | 11 |
| 28.15 | 100 |
| 30.48 | 23 |
| 34.88 | 11 |
| 39.17 | 28 |
| 41.27 | 39 |
| 50.70 | 19 |
| 55.11 | 16 |
| 57.15 | 10 |
| 67.36 | 16 |

Atomic structure:
Cell lengths 9.2242, 9.2242, 9.2242 Å; angles 56.63, 56.63, 56.63 degrees
Fractional positions:
Pr 0.2125 0.7431 0.7431
Pr 0.2326 0.2326 0.2326
Pr 0.2569 0.2569 0.7875
Pr 0.2569 0.7875 0.2569
Pr 0.7431 0.2125 0.7431
Pr 0.7431 0.7431 0.2125
Pr 0.7674 0.7674 0.7674
Pr 0.7875 0.2569 0.2569
Si 0.0000 0.0000 0.5000
Si 0.0000 0.5000 0.0000
Si 0.5000 0.0000 0.0000
I 0.0000 0.0000 0.0000
I 0.0000 0.5000 0.5000
I 0.5000 0.0000 0.5000
I 0.5000 0.5000 0.0000
Br 0.5000 0.5000 0.5000

***

Entry 3:
For RbPtIBr6, a crystal structure in Alexandria, relaxed with PBE gives the computed XRD peak list in this record (CuKα).
No peak broadening, texture or thermal motion is included.

Peak list (10 most intense, 2θ from 10° to 90°, in order of rising 2θ)
| Position (°2θ) | Rel. int. |
| --- | --- |
| 12.64 | 90 |
| 13.21 | 52 |
| 18.32 | 100 |
| 21.99 | 23 |
| 25.74 | 84 |
| 34.77 | 88 |
| 36.51 | 70 |
| 38.58 | 34 |
| 52.90 | 24 |
| 53.69 | 25 |

Atomic structure:
Cell lengths 8.0839, 8.0839, 6.7029 Å; angles 90.00, 90.00, 120.00 degrees
Fractional positions:
Rb 0.0000 0.0000 0.0000
Pt 0.6667 0.3333 0.5000
I 0.3333 0.6667 0.5000
Br 0.4153 0.0784 0.7153
Br 0.4153 0.3368 0.2847
Br 0.6632 0.0784 0.2847
Br 0.6632 0.5847 0.7153
Br 0.9216 0.3368 0.7153
Br 0.9216 0.5847 0.2847